1.
Calculated powder diffractogram of Hf4IrRu2 for Cu Kα (weighted mean of Kα1 and Kα2), from a crystal structure in Alexandria, relaxed with PBE.
Peak positions follow from Bragg's law for the DFT cell and can differ from measured ones.

Main lines, in order of rising 2θ (10° ≤ 2θ ≤ 90°):
2θ 11.96, rel. 13, hkl 0 0 3; 2θ 22.88, rel. 11, hkl 1 0 1; 2θ 27.73, rel. 19, hkl 1 0 4; 2θ 39.54, rel. 100, hkl 1 1 0; 2θ 39.71, rel. 97, hkl 0 1 8; 2θ 57.29, rel. 33, hkl 2 0 8; 2θ 71.73, rel. 17, hkl 3 0 0; 2θ 71.84, rel. 34, hkl 1 2 8; 2θ 72.18, rel. 16, hkl 1 0 16; 2θ 85.15, rel. 11, hkl 2 2 0

Cell: 4.5581 4.5581 22.1958 Å, 90.00 90.00 120.00°
Space group R-3m (No. 166, hexagonal axes)
Inequivalent atoms, fractional coordinates:
1 Hf 0.0000 0.0000 0.1213 (multiplicity 6)
2 Hf 0.0000 0.0000 0.3719 (multiplicity 6)
3 Ir 0.0000 0.0000 0.5000 (multiplicity 3)
4 Ru 0.0000 0.0000 0.2487 (multiplicity 6)

=====

2.
Calculated powder diffractogram of Be2P for Cu Kα (weighted mean of Kα1 and Kα2), from a crystal structure in Alexandria, relaxed with PBE.
Peak positions follow from Bragg's law for the DFT cell and can differ from measured ones.

Main lines, in order of rising 2θ (10° ≤ 2θ ≤ 90°):
2θ 27.70, rel. 100, hkl 1 1 -1; 2θ 28.52, rel. 52, hkl 2 0 0; 2θ 34.01, rel. 50, hkl 1 1 1; 2θ 35.07, rel. 32, hkl 0 0 2; 2θ 35.90, rel. 25, hkl 2 0 -2; 2θ 42.98, rel. 17, hkl 0 2 0; 2θ 45.63, rel. 28, hkl 3 1 -1; 2θ 52.39, rel. 26, hkl 2 2 0; 2θ 54.64, rel. 17, hkl 1 1 -3; 2θ 56.63, rel. 21, hkl 0 2 2

Cell: 6.769 4.209 5.533 Å, 90.00 112.36 90.00°
Space group Cm (No. 8)
Inequivalent atoms, fractional coordinates:
1 Be 0.000 0.000 0.000 (multiplicity 2)
2 Be 0.027 0.249 0.392 (multiplicity 4)
3 Be 0.345 0.000 0.650 (multiplicity 2)
4 P 0.337 0.500 0.574 (multiplicity 2)
5 P 0.341 0.000 0.044 (multiplicity 2)

=====

3.
Calculated powder diffractogram of Sc2Pd3Pt for Cu Kα (weighted mean of Kα1 and Kα2), from a crystal structure in Alexandria, relaxed with PBE.
Peak positions follow from Bragg's law for the DFT cell and can differ from measured ones.

Main lines, in order of rising 2θ (10° ≤ 2θ ≤ 90°):
2θ 20.56, rel. 66, hkl 1 1 2; 2θ 29.97, rel. 15, hkl 2 2 0; 2θ 31.97, rel. 24, hkl 2 1 3; 2θ 36.62, rel. 59, hkl 3 1 2; 2θ 37.44, rel. 28, hkl 1 0 5; 2θ 39.18, rel. 40, hkl 3 2 1; 2θ 41.83, rel. 100, hkl 2 2 4; 2θ 42.90, rel. 45, hkl 4 0 0; 2θ 66.33, rel. 21, hkl 5 3 2; 2θ 77.84, rel. 18, hkl 6 2 4

Cell: 8.433 8.433 12.531 Å, 90.00 90.00 90.00°
Space group I4_1/amd (No. 141, origin choice 2)
Inequivalent atoms, fractional coordinates:
1 Sc 0.000 0.043 0.275 (multiplicity 16)
2 Pd 0.000 0.000 0.500 (multiplicity 8)
3 Pd 0.211 0.039 0.875 (multiplicity 16)
4 Pt 0.000 0.250 0.101 (multiplicity 8)

=====

4.
Calculated powder diffractogram of Ce5Se4N for Cu Kα (weighted mean of Kα1 and Kα2), from a crystal structure in Alexandria, relaxed with PBE.
Peak positions follow from Bragg's law for the DFT cell and can differ from measured ones.

Main lines, in order of rising 2θ (10° ≤ 2θ ≤ 90°):
2θ 26.59, rel. 26, hkl 1 0 5; 2θ 30.71, rel. 100, hkl 1 1 0; 2θ 30.99, rel. 32, hkl 0 0 10; 2θ 35.48, rel. 18, hkl 1 0 9; 2θ 43.98, rel. 36, hkl 2 0 0; 2θ 44.19, rel. 48, hkl 1 1 10; 2θ 54.77, rel. 25, hkl 2 0 10; 2θ 63.95, rel. 13, hkl 2 2 0; 2θ 72.61, rel. 15, hkl 3 1 0; 2θ 81.02, rel. 16, hkl 3 1 10

Cell: 4.117 4.117 28.861 Å, 90.00 90.00 90.00°
Space group I4/mmm (No. 139)
Inequivalent atoms, fractional coordinates:
1 Ce 0.000 0.000 0.000 (multiplicity 2)
2 Ce 0.000 0.000 0.202 (multiplicity 4)
3 Ce 0.000 0.000 0.418 (multiplicity 4)
4 Se 0.000 0.000 0.100 (multiplicity 4)
5 Se 0.000 0.000 0.306 (multiplicity 4)
6 N 0.000 0.000 0.500 (multiplicity 2)

=====

5.
Calculated powder diffractogram of La3TmCd for Cu Kα (weighted mean of Kα1 and Kα2), from a crystal structure in Alexandria, relaxed with PBE.
Peak positions follow from Bragg's law for the DFT cell and can differ from measured ones.

Main lines, in order of rising 2θ (10° ≤ 2θ ≤ 90°):
2θ 27.05, rel. 45, hkl 0 2 2; 2θ 30.38, rel. 100, hkl 1 2 1; 2θ 32.71, rel. 43, hkl 1 1 -2; 2θ 33.07, rel. 40, hkl 0 4 0; 2θ 33.40, rel. 21, hkl 0 1 3; 2θ 40.06, rel. 18, hkl 1 0 3; 2θ 40.50, rel. 21, hkl 1 3 -2; 2θ 52.88, rel. 17, hkl 1 4 3; 2θ 57.40, rel. 16, hkl 1 6 1; 2θ 58.69, rel. 15, hkl 2 4 0

Cell: 3.864 10.835 8.307 Å, 90.00 90.02 90.00°
Space group P2_1/m (No. 11)
Inequivalent atoms, fractional coordinates:
1 La 0.249 0.003 0.254 (multiplicity 4)
2 La 0.250 0.750 0.950 (multiplicity 2)
3 Tm 0.251 0.750 0.558 (multiplicity 2)
4 Cd 0.250 0.250 0.726 (multiplicity 2)

=====

6.
Calculated powder diffractogram of Ag3OsBr8 for Cu Kα (weighted mean of Kα1 and Kα2), from a crystal structure in Alexandria, relaxed with PBE.
Peak positions follow from Bragg's law for the DFT cell and can differ from measured ones.

Main lines, in order of rising 2θ (10° ≤ 2θ ≤ 90°):
2θ 13.85, rel. 90, hkl 1 1 0; 2θ 17.49, rel. 42, hkl 1 1 1; 2θ 25.54, rel. 29, hkl 1 1 2; 2θ 30.82, rel. 51, hkl 0 4 0; 2θ 31.74, rel. 100, hkl 2 0 2; 2θ 43.49, rel. 17, hkl 0 0 4; 2θ 44.83, rel. 64, hkl 2 4 2; 2θ 47.45, rel. 16, hkl 4 0 0; 2θ 54.26, rel. 16, hkl 0 4 4; 2θ 57.65, rel. 21, hkl 4 4 0

Cell: 7.664 11.603 8.323 Å, 90.00 90.00 90.00°
Space group C222 (No. 21)
Inequivalent atoms, fractional coordinates:
1 Ag 0.000 0.000 0.000 (multiplicity 2)
2 Ag 0.250 0.250 0.763 (multiplicity 4)
3 Os 0.000 0.000 0.500 (multiplicity 2)
4 Br 0.000 0.216 0.500 (multiplicity 4)
5 Br 0.000 0.226 0.000 (multiplicity 4)
6 Br 0.231 0.004 0.710 (multiplicity 8)